Theoretical powder diffraction line list of Na4FeO5 for λ = 1.5418 Å (Cu Kα), from DFT lattice parameters and positions (GGA+U).
Intensities are scaled so that the largest is 1000.

Crystal structure
Cell lengths 5.6780, 5.7261, 16.1635 Å; angles 84.82, 84.65, 79.45 degrees
Space group P1 (No. 1)
Inequivalent atoms, fractional coordinates:
1 Na 0.0000 0.0000 0.0000 x1
2 Na 0.0220 0.2420 0.4436 x1
3 Na 0.1336 0.7564 0.3419 x1
4 Na 0.1888 0.0130 0.7902 x1
5 Na 0.2538 0.2570 0.2428 x1
6 Na 0.2810 0.4938 0.6934 x1
7 Na 0.3855 0.9998 0.5869 x1
8 Na 0.4440 0.2733 0.0474 x1
9 Na 0.4952 0.4869 0.4911 x1
10 Na 0.5373 0.7586 0.9510 x1
11 Na 0.6491 0.2566 0.8401 x1
12 Na 0.6888 0.5043 0.2926 x1
13 Na 0.7485 0.7423 0.7415 x1
14 Na 0.7942 0.0064 0.1953 x1
15 Na 0.9101 0.5156 0.0966 x1
16 Na 0.9352 0.7551 0.5374 x1
17 Fe 0.0932 0.5075 0.8949 x1
18 Fe 0.3634 0.7798 0.1601 x1
19 Fe 0.5632 0.9679 0.3766 x1
20 Fe 0.8185 0.2160 0.6327 x1
21 O 0.0307 0.9540 0.6621 x1
22 O 0.0742 0.3651 0.5881 x1
23 O 0.0965 0.6515 0.2052 x1
24 O 0.1616 0.0609 0.1277 x1
25 O 0.1897 0.6031 0.9893 x1
26 O 0.2840 0.2068 0.9139 x1
27 O 0.3208 0.8813 0.4521 x1
28 O 0.3512 0.6160 0.8320 x1
29 O 0.4035 0.2839 0.3766 x1
30 O 0.4657 0.8768 0.2692 x1
31 O 0.5375 0.4706 0.1619 x1
32 O 0.5792 0.1426 0.7061 x1
33 O 0.6047 0.8742 0.0849 x1
34 O 0.6685 0.5350 0.6275 x1
35 O 0.7291 0.1375 0.5416 x1
36 O 0.7708 0.6968 0.4109 x1
37 O 0.8258 0.1118 0.3343 x1
38 O 0.8340 0.3979 0.9569 x1
39 O 0.9020 0.8070 0.8757 x1
40 O 0.9981 0.4088 0.8006 x1

Main lines, low angle first (2θ from 10° to 90°):
| 2θ/deg | I/Imax | (hkl) |
| --- | --- | --- |
| 17.1 | 592 | 0 1 -1 |
| 17.3 | 583 | 1 0 -1 |
| 22.1 | 621 | 1 0 3 |
| 33.2 | 286 | 0 1 -5 |
| 33.3 | 483 | -1 1 4 |
| 37.3 | 1000 | 1 1 6 |
| 39.0 | 902 | 1 -2 1 |
| 39.1 | 888 | 2 1 -3 |
| 55.2 | 264 | 2 -1 7 |
| 55.3 | 283 | 1 0 -9 |
| 56.2 | 257 | 1 3 -4 |
| 56.7 | 252 | -3 1 2 |